Entry 1:
Theoretical powder diffractogram of Ba13Zn4 for a wavelength of 1.5418 Å, from a crystal structure in OQMD, relaxed with GGA-PBE.

Structure:
```
17
Lattice="12.681 -2.877 0.000 12.681 2.877 0.000 -4.742 0.000 10.701" Properties=species:S:1:pos:R:3 pbc="T T T"
Ba 0.000 0.000 0.000
Ba 0.467 0.000 3.899
Ba -1.302 0.000 8.597
Ba 5.915 0.000 1.493
Ba 5.014 0.000 5.156
Ba 5.150 0.000 9.382
Ba 8.831 0.000 4.550
Ba 11.788 0.000 6.151
Ba 15.470 0.000 1.319
Ba 15.605 0.000 5.545
Ba 14.704 0.000 9.208
Ba 21.921 0.000 2.104
Ba 20.152 0.000 6.802
Zn 1.916 0.000 7.171
Zn 8.941 0.000 8.338
Zn 11.678 0.000 2.363
Zn 18.703 0.000 3.531
```

Main lines, in order of rising 2θ (2θ = 10–80°):
Position (°2θ), Rel. int.
22.2, 17
23.0, 20
23.4, 29
28.4, 100
28.5, 29
29.1, 39
29.7, 32
31.1, 55
42.6, 18
53.7, 17

=====

Entry 2:
Theoretical powder diffractogram of Ba2Zn2As2O for a wavelength of 1.5418 Å, from a crystal structure in OQMD, relaxed with GGA-PBE.

Structure:
```
14
Lattice="4.432 0.000 0.000 -2.216 3.838 0.000 0.000 0.000 19.621" Properties=species:S:1:pos:R:3 pbc="T T T"
Ba 0.000 0.000 0.000
Ba 0.000 0.000 4.905
Ba 0.000 0.000 9.811
Ba 0.000 0.000 14.716
Zn 0.000 2.559 2.798
Zn 0.000 2.559 7.012
Zn 2.216 1.279 12.609
Zn 2.216 1.279 16.823
As 0.000 2.559 11.976
As 0.000 2.559 17.456
As 2.216 1.279 2.166
As 2.216 1.279 7.645
O 0.000 2.559 4.905
O 2.216 1.279 14.716
```

Main lines, in order of rising 2θ (2θ = 10–80°):
Position (°2θ), Rel. int.
23.2, 7
26.9, 5
29.6, 100
36.6, 14
40.7, 45
51.1, 21
55.9, 25
61.7, 8
67.3, 19
74.1, 7

=====

Entry 3:
Theoretical powder diffractogram of ZnH12C2N6Cl4 for a wavelength of 1.5418 Å, from a crystal structure in OQMD, relaxed with GGA-PBE.

Structure:
```
50
Lattice="6.887 0.000 0.000 1.668 6.958 0.000 0.565 1.466 12.227" Properties=species:S:1:pos:R:3 pbc="T T T"
Zn 1.018 2.653 3.353
Zn 8.101 5.771 8.874
H 2.283 5.301 5.373
H 2.802 6.963 5.434
H 3.737 8.164 10.628
H 3.227 5.928 10.861
H 2.623 3.708 0.232
H 2.501 2.163 12.047
H 3.062 5.052 2.107
H 3.626 6.691 1.887
H 3.136 2.021 8.195
H 3.788 4.242 8.356
H 3.816 3.656 4.617
H 3.192 0.648 4.637
H 5.927 7.776 7.590
H 5.303 4.768 7.610
H 5.331 4.182 3.871
H 5.983 6.403 4.032
H 5.493 1.732 10.340
H 6.057 3.372 10.120
H 6.618 6.260 0.180
H 6.496 4.716 11.995
H 5.892 2.496 1.366
H 5.382 0.260 1.599
H 6.318 1.461 6.792
H 6.837 3.123 6.854
C 3.173 5.687 0.177
C 4.173 5.677 4.640
C 4.946 2.747 7.587
C 5.946 2.737 12.050
N 3.015 5.992 5.229
N 3.320 6.003 11.873
N 3.934 8.222 11.628
N 3.433 5.769 1.490
N 4.443 4.409 4.322
N 5.041 6.648 4.333
N 4.078 1.776 7.894
N 4.676 4.015 7.905
N 5.686 2.655 10.737
N 5.185 0.201 0.599
N 5.799 2.421 0.354
N 6.105 2.432 6.998
Cl 1.801 3.654 9.430
Cl 3.101 7.006 8.691
Cl 2.046 2.526 5.394
Cl 2.500 2.019 1.745
Cl 6.619 6.404 10.482
Cl 7.073 5.898 6.833
Cl 6.018 1.418 3.536
Cl 7.318 4.770 2.797
```

Main lines, in order of rising 2θ (2θ = 10–80°):
Position (°2θ), Rel. int.
13.2, 56
14.5, 52
15.5, 56
19.8, 38
20.6, 66
21.3, 50
25.8, 100
26.8, 34
30.7, 36
32.0, 86

=====

Entry 4:
Theoretical powder diffractogram of TbHoSe2F2 for a wavelength of 1.5418 Å, from a crystal structure in OQMD, relaxed with GGA-PBE.

Structure:
```
6
Lattice="3.845 0.000 0.000 0.000 3.845 0.000 0.000 0.000 7.015" Properties=species:S:1:pos:R:3 pbc="T T T"
Tb 0.000 0.000 0.000
Ho 1.923 1.923 3.980
Se 0.000 0.000 2.989
Se 1.923 1.923 1.014
F 0.000 1.923 5.489
F 1.923 0.000 5.489
```

Main lines, in order of rising 2θ (2θ = 10–80°):
Position (°2θ), Rel. int.
25.4, 40
26.4, 65
32.9, 100
34.6, 75
42.0, 69
45.4, 47
47.3, 50
54.4, 21
59.9, 30
67.6, 29

=====

Entry 5:
Theoretical powder diffractogram of Pr3CBr5 for a wavelength of 1.5418 Å, from a crystal structure in OQMD, relaxed with GGA-PBE.

Structure:
```
18
Lattice="7.721 0.000 0.000 -2.471 8.858 0.000 -1.210 -3.291 8.625" Properties=species:S:1:pos:R:3 pbc="T T T"
Pr -0.826 0.561 3.597
Pr -0.794 3.937 2.315
Pr 0.550 3.465 6.043
Pr 3.489 2.102 2.582
Pr 4.833 1.630 6.311
Pr 4.866 5.006 5.028
C -1.274 2.927 4.705
C 5.314 2.640 3.921
Br -1.842 6.665 2.793
Br 0.644 1.580 1.226
Br -0.674 2.016 8.322
Br -0.643 6.011 6.719
Br 2.037 0.892 5.047
Br 2.003 4.674 3.578
Br 4.683 -0.444 1.907
Br 4.714 3.550 0.304
Br 3.396 3.987 7.399
Br 5.882 -1.099 5.832
```

Main lines, in order of rising 2θ (2θ = 10–80°):
Position (°2θ), Rel. int.
10.3, 38
10.7, 37
28.9, 100
30.1, 87
30.7, 76
41.2, 32
41.5, 30
43.2, 50
43.8, 29
43.9, 26

=====

Entry 6:
Theoretical powder diffractogram of TbGdP2Os2O2 for a wavelength of 1.5418 Å, from a crystal structure in OQMD, relaxed with GGA-PBE.

Structure:
```
8
Lattice="3.998 0.000 0.000 0.000 3.998 0.000 0.000 0.000 7.965" Properties=species:S:1:pos:R:3 pbc="T T T"
Tb 0.000 0.000 0.000
Gd 1.999 1.999 2.170
P 0.000 0.000 3.835
P 1.999 1.999 6.294
Os 0.000 1.999 5.066
Os 1.999 0.000 5.066
O 0.000 1.999 1.071
O 1.999 0.000 1.071
```

Main lines, in order of rising 2θ (2θ = 10–80°):
Position (°2θ), Rel. int.
11.1, 36
22.3, 32
24.9, 28
31.7, 61
33.6, 100
33.8, 28
39.1, 57
45.4, 51
56.5, 49
76.3, 32

=====

Entry 7:
Theoretical powder diffractogram of HoEr2TmMg2 for a wavelength of 1.5418 Å, from a crystal structure in OQMD, relaxed with GGA-PBE.

Structure:
```
12
Lattice="5.415 0.000 0.000 0.000 3.622 0.000 0.000 0.000 17.075" Properties=species:S:1:pos:R:3 pbc="T T T"
Ho 0.000 0.000 0.000
Ho 0.000 1.811 8.538
Er 0.000 0.000 11.609
Er 0.000 1.811 3.071
Er 2.708 0.000 2.267
Er 2.708 1.811 10.805
Tm 2.708 0.000 13.871
Tm 2.708 1.811 5.334
Mg 0.000 0.000 5.822
Mg 0.000 1.811 14.360
Mg 2.708 0.000 8.048
Mg 2.708 1.811 16.586
```

Main lines, in order of rising 2θ (2θ = 10–80°):
Position (°2θ), Rel. int.
10.4, 20
25.1, 18
26.6, 27
31.4, 20
33.1, 30
33.7, 100
35.6, 17
44.8, 14
46.3, 14
59.5, 20

=====

Entry 8:
Theoretical powder diffractogram of TbNbAsC for a wavelength of 1.5418 Å, from a crystal structure in OQMD, relaxed with GGA-PBE.

Structure:
```
8
Lattice="3.509 0.000 0.000 -1.754 3.039 0.000 0.000 0.000 12.989" Properties=species:S:1:pos:R:3 pbc="T T T"
Tb 0.000 2.026 5.099
Tb 1.754 1.013 7.889
Nb 0.000 2.026 1.115
Nb 1.754 1.013 11.874
As 0.000 2.026 10.107
As 1.754 1.013 2.882
C 0.000 0.000 0.000
C 0.000 0.000 6.494
```

Main lines, in order of rising 2θ (2θ = 10–80°):
Position (°2θ), Rel. int.
29.4, 30
30.2, 9
32.5, 13
36.1, 100
40.7, 9
51.9, 9
52.1, 29
58.3, 12
65.1, 20
68.9, 11

=====

Entry 9:
Theoretical powder diffractogram of Ta5W7 for a wavelength of 1.5418 Å, from a crystal structure in OQMD, relaxed with GGA-PBE.

Structure:
```
24
Lattice="5.325 0.000 0.000 -2.663 4.612 0.000 0.000 0.000 17.227" Properties=species:S:1:pos:R:3 pbc="T T T"
Ta 0.000 0.000 1.629
Ta 0.000 0.000 6.984
Ta 0.000 0.000 10.243
Ta 0.000 0.000 15.597
Ta 0.000 1.515 4.307
Ta -1.351 3.854 4.307
Ta 1.312 0.758 12.920
Ta 1.351 3.854 4.307
Ta 4.013 0.758 12.920
Ta 2.663 3.097 12.920
W -1.331 2.306 0.000
W -1.331 2.306 8.613
W 0.000 3.075 2.110
W 0.000 3.075 6.503
W 0.000 3.075 11.226
W 0.000 3.075 14.614
W 2.663 0.000 0.000
W 2.663 0.000 8.613
W 1.331 2.306 0.000
W 1.331 2.306 8.613
W 2.663 1.537 2.612
W 2.663 1.537 6.001
W 2.663 1.537 10.723
W 2.663 1.537 15.117
```

Main lines, in order of rising 2θ (2θ = 10–80°):
Position (°2θ), Rel. int.
33.7, 26
36.9, 42
39.8, 100
40.5, 60
42.0, 21
42.2, 20
62.3, 17
64.3, 25
67.9, 22
70.8, 27